PrDy2Y7: computed powder diffraction line list (Cu Kα), based on the PBE geometry in Alexandria.
No peak broadening, texture or thermal motion is included.

Cell and atoms:
```
data_PrDy2Y7
_cell_length_a 6.1955
_cell_length_b 6.2038
_cell_length_c 9.4663
_cell_angle_alpha 102.64
_cell_angle_beta 109.01
_cell_angle_gamma 99.60
_space_group_name_H-M_alt 'P 1'
_space_group_IT_number 1
loop_
_space_group_symop_operation_xyz
'x,y,z'
loop_
_atom_site_label
_atom_site_type_symbol
_atom_site_fract_x
_atom_site_fract_y
_atom_site_fract_z
_atom_site_occupancy
Pr1 Pr 0.0000 0.0000 0.0000 1
Dy1 Dy 0.2003 0.0009 0.4011 1
Dy2 Dy 0.7997 0.9991 0.5989 1
Y1 Y 0.0000 0.5000 0.5000 1
Y2 Y 0.2000 0.4992 0.8992 1
Y3 Y 0.3986 0.9993 0.7974 1
Y4 Y 0.4000 0.5016 0.3016 1
Y5 Y 0.6000 0.4984 0.6984 1
Y6 Y 0.6014 0.0007 0.2026 1
Y7 Y 0.8000 0.5008 0.1008 1
```

The 6 most intense peaks (2θ from 10° to 80°), most intense first:
index	Position (°2θ)	I (rel.)
1 0 2	30.59	100
2 1 -1	35.47	50
3 1 1	60.66	34
1 2 2	51.02	29
2 0 4	63.68	12
2 0 -6	60.73	7

Sr4Rh3: computed powder diffraction line list (Cu Kα), based on the PBE geometry in Alexandria.
No peak broadening, texture or thermal motion is included.

Cell and atoms:
```
data_Sr4Rh3
_cell_length_a 5.7701
_cell_length_b 5.7701
_cell_length_c 6.4051
_cell_angle_alpha 90.00
_cell_angle_beta 90.00
_cell_angle_gamma 120.00
_space_group_name_H-M_alt 'P 1'
_space_group_IT_number 1
loop_
_space_group_symop_operation_xyz
'x,y,z'
loop_
_atom_site_label
_atom_site_type_symbol
_atom_site_fract_x
_atom_site_fract_y
_atom_site_fract_z
_atom_site_occupancy
Sr1 Sr 0.0000 0.0000 0.2216 1
Sr2 Sr 0.0000 0.0000 0.7784 1
Sr3 Sr 0.3333 0.6667 0.5000 1
Sr4 Sr 0.6667 0.3333 0.5000 1
Rh1 Rh 0.0000 0.5000 0.0000 1
Rh2 Rh 0.5000 0.0000 0.0000 1
Rh3 Rh 0.5000 0.5000 0.0000 1
```

The 6 most intense peaks (2θ from 10° to 80°), most intense first:
index	Position (°2θ)	I (rel.)
1 0 2	33.23	100
2 0 1	38.68	97
2 0 0	35.94	51
1 1 1	34.08	45
2 1 2	56.57	43
0 0 1	13.83	33